This entry pairs a crystal structure of Tm3CrO7 with its computed powder XRD pattern. Radiation: Cu Kα X-rays. Structure: DFT lattice parameters and positions (GGA+U).
No peak broadening, texture or thermal motion is included.

Largest 10 diffraction maxima, most intense first, 2θ from 5° to 70°:
2theta  I/Imax  (hkl)
30.4  100  0 2 2
29.8  97  2 2 0
50.2  49  2 4 2
34.8  44  2 0 2
60.0  25  2 2 4
35.1  20  0 4 0
50.8  16  0 0 4
58.9  16  4 2 2
14.8  14  1 1 0
60.1  13  0 6 2

Cell and atoms:
```
data_Tm3CrO7
_chemical_formula_sum 'Tm12 Cr4 O28'
_space_group_name_H-M_alt 'C 2 2 21'
_space_group_IT_number 20
_space_group_name_Hall 'C 2c 2'
_cell_length_a 7.414
_cell_length_b 10.223
_cell_length_c 7.194
_cell_angle_alpha 90.00
_cell_angle_beta 90.00
_cell_angle_gamma 90.00
loop_
_atom_site_label
_atom_site_type_symbol
_atom_site_fract_x
_atom_site_fract_y
_atom_site_fract_z
Tm1 Tm 0.049 0.000 0.000
Tm2 Tm 0.230 0.271 0.760
Cr1 Cr 0.007 0.500 0.000
O1 O 0.000 0.130 0.250
O2 O 0.000 0.139 0.750
O3 O 0.000 0.435 0.750
O4 O 0.170 0.374 0.044
O5 O 0.199 0.377 0.477
```